Structure and computed X-ray powder pattern of Pm2Sm2Tc (a GGA-PBE-relaxed structure; Cu Kα X-rays).
Intensities are scaled so that the largest is 100.

Main lines, sorted by position (2θ = 10–90°):
2θ 13.30, I 16
2θ 28.01, I 19
2θ 29.18, I 37
2θ 30.10, I 100
2θ 30.57, I 55
2θ 32.63, I 63
2θ 35.68, I 34
2θ 37.56, I 23
2θ 40.89, I 32
2θ 49.13, I 16
2θ 51.53, I 17
2θ 52.32, I 20

```
data_Pm2Sm2Tc
_chemical_formula_sum 'Pm4 Sm4 Tc2'
_space_group_name_H-M_alt 'P 1'
_space_group_IT_number 1
_cell_length_a 7.199
_cell_length_b 7.199
_cell_length_c 7.427
_cell_angle_alpha 103.50
_cell_angle_beta 103.50
_cell_angle_gamma 116.50
loop_
_space_group_symop_operation_xyz
'x,y,z'
loop_
_atom_site_label
_atom_site_type_symbol
_atom_site_fract_x
_atom_site_fract_y
_atom_site_fract_z
_atom_site_occupancy
Pm1 Pm 0.225 0.225 0.403 1
Pm2 Pm 0.261 0.261 0.913 1
Pm3 Pm 0.739 0.739 0.087 1
Pm4 Pm 0.775 0.775 0.597 1
Sm1 Sm 0.230 0.681 0.247 1
Sm2 Sm 0.319 0.770 0.753 1
Sm3 Sm 0.681 0.230 0.247 1
Sm4 Sm 0.770 0.319 0.753 1
Tc1 Tc 0.127 0.873 0.000 1
Tc2 Tc 0.873 0.127 0.000 1
```

---

Structure and computed X-ray powder pattern of PmSm4Te5 (a GGA-PBE-relaxed structure; Cu Kα X-rays).
Intensities are scaled so that the largest is 100.

Main lines, sorted by position (2θ = 10–90°):
2θ 28.23, I 49
2θ 28.44, I 100
2θ 40.50, I 75
2θ 40.65, I 38
2θ 50.23, I 40
2θ 58.84, I 13
2θ 66.19, I 16
2θ 66.52, I 17
2θ 66.62, I 18
2θ 73.56, I 12
2θ 73.87, I 25
2θ 87.61, I 8

```
data_PmSm4Te5
_chemical_formula_sum 'Pm1 Sm4 Te5'
_space_group_name_H-M_alt 'P 1'
_space_group_IT_number 1
_cell_length_a 16.116
_cell_length_b 16.116
_cell_length_c 16.116
_cell_angle_alpha 164.17
_cell_angle_beta 164.17
_cell_angle_gamma 22.46
loop_
_space_group_symop_operation_xyz
'x,y,z'
loop_
_atom_site_label
_atom_site_type_symbol
_atom_site_fract_x
_atom_site_fract_y
_atom_site_fract_z
_atom_site_occupancy
Pm1 Pm 0.000 0.000 0.000 1
Sm1 Sm 0.204 0.204 0.000 1
Sm2 Sm 0.403 0.403 0.000 1
Sm3 Sm 0.597 0.597 0.000 1
Sm4 Sm 0.796 0.796 0.000 1
Te1 Te 0.102 0.102 0.000 1
Te2 Te 0.303 0.303 0.000 1
Te3 Te 0.500 0.500 0.000 1
Te4 Te 0.697 0.697 0.000 1
Te5 Te 0.898 0.898 0.000 1
```

---

Structure and computed X-ray powder pattern of Pm2Sm2Te5 (a GGA-PBE-relaxed structure; Cu Kα X-rays).
Intensities are scaled so that the largest is 100.

Main lines, sorted by position (2θ = 10–90°):
2θ 26.44, I 38
2θ 29.23, I 100
2θ 30.38, I 38
2θ 31.80, I 32
2θ 32.87, I 78
2θ 33.56, I 36
2θ 34.49, I 64
2θ 34.60, I 63
2θ 44.55, I 50
2θ 62.35, I 25
2θ 63.21, I 23
2θ 64.55, I 23

```
data_Pm2Sm2Te5
_chemical_formula_sum 'Pm4 Sm4 Te10'
_space_group_name_H-M_alt 'P 1'
_space_group_IT_number 1
_cell_length_a 9.023
_cell_length_b 9.023
_cell_length_c 8.338
_cell_angle_alpha 90.00
_cell_angle_beta 90.00
_cell_angle_gamma 54.79
loop_
_space_group_symop_operation_xyz
'x,y,z'
loop_
_atom_site_label
_atom_site_type_symbol
_atom_site_fract_x
_atom_site_fract_y
_atom_site_fract_z
_atom_site_occupancy
Pm1 Pm 0.196 0.196 0.000 1
Pm2 Pm 0.304 0.304 0.500 1
Pm3 Pm 0.696 0.696 0.500 1
Pm4 Pm 0.804 0.804 0.000 1
Sm1 Sm 0.146 0.854 0.651 1
Sm2 Sm 0.354 0.646 0.151 1
Sm3 Sm 0.646 0.354 0.849 1
Sm4 Sm 0.854 0.146 0.349 1
Te1 Te 0.000 0.000 0.000 1
Te2 Te 0.019 0.701 0.345 1
Te3 Te 0.201 0.519 0.845 1
Te4 Te 0.299 0.981 0.345 1
Te5 Te 0.481 0.799 0.845 1
Te6 Te 0.500 0.500 0.500 1
Te7 Te 0.519 0.201 0.155 1
Te8 Te 0.701 0.019 0.655 1
Te9 Te 0.799 0.481 0.155 1
Te10 Te 0.981 0.299 0.655 1
```

---

Structure and computed X-ray powder pattern of PmSm4Te4 (a GGA-PBE-relaxed structure; Cu Kα X-rays).
Intensities are scaled so that the largest is 100.

Main lines, sorted by position (2θ = 10–90°):
2θ 13.96, I 12
2θ 21.64, I 100
2θ 35.58, I 95
2θ 35.94, I 47
2θ 41.71, I 17
2θ 42.34, I 35
2θ 50.65, I 8
2θ 51.74, I 16
2θ 56.21, I 14
2θ 63.66, I 17
2θ 64.37, I 33
2θ 75.33, I 10

```
data_PmSm4Te4
_chemical_formula_sum 'Pm1 Sm4 Te4'
_space_group_name_H-M_alt 'P 1'
_space_group_IT_number 1
_cell_length_a 8.771
_cell_length_b 8.771
_cell_length_c 8.771
_cell_angle_alpha 132.49
_cell_angle_beta 132.49
_cell_angle_gamma 69.46
loop_
_space_group_symop_operation_xyz
'x,y,z'
loop_
_atom_site_label
_atom_site_type_symbol
_atom_site_fract_x
_atom_site_fract_y
_atom_site_fract_z
_atom_site_occupancy
Pm1 Pm 0.000 0.000 0.000 1
Sm1 Sm 0.000 0.500 0.500 1
Sm2 Sm 0.258 0.258 0.000 1
Sm3 Sm 0.500 0.000 0.500 1
Sm4 Sm 0.742 0.742 0.000 1
Te1 Te 0.118 0.625 0.000 1
Te2 Te 0.375 0.375 0.493 1
Te3 Te 0.625 0.118 0.000 1
Te4 Te 0.882 0.882 0.507 1
```

---

Structure and computed X-ray powder pattern of PmSm6Te8 (a GGA-PBE-relaxed structure; Cu Kα X-rays).
Intensities are scaled so that the largest is 100.

Main lines, sorted by position (2θ = 10–90°):
2θ 12.24, I 3
2θ 14.14, I 3
2θ 20.05, I 3
2θ 23.56, I 4
2θ 28.51, I 100
2θ 31.13, I 3
2θ 40.75, I 76
2θ 50.49, I 27
2θ 59.00, I 13
2θ 66.81, I 35
2θ 74.18, I 25
2θ 88.28, I 8

```
data_PmSm6Te8
_chemical_formula_sum 'Pm1 Sm6 Te8'
_space_group_name_H-M_alt 'P 1'
_space_group_IT_number 1
_cell_length_a 8.856
_cell_length_b 8.856
_cell_length_c 8.856
_cell_angle_alpha 60.00
_cell_angle_beta 60.00
_cell_angle_gamma 60.00
loop_
_space_group_symop_operation_xyz
'x,y,z'
loop_
_atom_site_label
_atom_site_type_symbol
_atom_site_fract_x
_atom_site_fract_y
_atom_site_fract_z
_atom_site_occupancy
Pm1 Pm 0.000 0.000 0.000 1
Sm1 Sm 0.000 0.000 0.500 1
Sm2 Sm 0.000 0.500 0.000 1
Sm3 Sm 0.000 0.500 0.500 1
Sm4 Sm 0.500 0.000 0.000 1
Sm5 Sm 0.500 0.000 0.500 1
Sm6 Sm 0.500 0.500 0.000 1
Te1 Te 0.250 0.250 0.250 1
Te2 Te 0.257 0.257 0.743 1
Te3 Te 0.257 0.743 0.257 1
Te4 Te 0.257 0.743 0.743 1
Te5 Te 0.743 0.257 0.257 1
Te6 Te 0.743 0.257 0.743 1
Te7 Te 0.743 0.743 0.257 1
Te8 Te 0.750 0.750 0.750 1
```

---

Structure and computed X-ray powder pattern of Pm2Sm3Te8 (a GGA-PBE-relaxed structure; Cu Kα X-rays).
Intensities are scaled so that the largest is 100.

Main lines, sorted by position (2θ = 10–90°):
2θ 18.25, I 20
2θ 20.80, I 13
2θ 24.54, I 48
2θ 30.81, I 100
2θ 36.72, I 37
2θ 36.92, I 18
2θ 40.59, I 21
2θ 40.79, I 42
2θ 51.80, I 15
2θ 56.03, I 16
2θ 65.71, I 20
2θ 68.09, I 13

```
data_Pm2Sm3Te8
_chemical_formula_sum 'Pm2 Sm3 Te8'
_space_group_name_H-M_alt 'P 1'
_space_group_IT_number 1
_cell_length_a 8.985
_cell_length_b 8.985
_cell_length_c 7.652
_cell_angle_alpha 106.27
_cell_angle_beta 106.27
_cell_angle_gamma 59.31
loop_
_space_group_symop_operation_xyz
'x,y,z'
loop_
_atom_site_label
_atom_site_type_symbol
_atom_site_fract_x
_atom_site_fract_y
_atom_site_fract_z
_atom_site_occupancy
Pm1 Pm 0.249 0.249 0.167 1
Pm2 Pm 0.751 0.751 0.833 1
Sm1 Sm 0.241 0.759 0.500 1
Sm2 Sm 0.500 0.500 0.000 1
Sm3 Sm 0.759 0.241 0.500 1
Te1 Te 0.120 0.120 0.404 1
Te2 Te 0.131 0.625 0.086 1
Te3 Te 0.375 0.869 0.914 1
Te4 Te 0.379 0.379 0.583 1
Te5 Te 0.621 0.621 0.417 1
Te6 Te 0.625 0.131 0.086 1
Te7 Te 0.869 0.375 0.914 1
Te8 Te 0.880 0.880 0.596 1
```

---

Structure and computed X-ray powder pattern of Pm2Sm3Te6 (a GGA-PBE-relaxed structure; Cu Kα X-rays).
Intensities are scaled so that the largest is 100.

Main lines, sorted by position (2θ = 10–90°):
2θ 28.52, I 100
2θ 40.73, I 38
2θ 40.83, I 38
2θ 50.39, I 7
2θ 50.56, I 20
2θ 58.91, I 4
2θ 59.10, I 8
2θ 66.68, I 6
2θ 66.83, I 17
2θ 66.97, I 11
2θ 74.15, I 8
2θ 74.30, I 10

```
data_Pm2Sm3Te6
_chemical_formula_sum 'Pm2 Sm3 Te6'
_space_group_name_H-M_alt 'P 1'
_space_group_IT_number 1
_cell_length_a 7.660
_cell_length_b 7.660
_cell_length_c 7.662
_cell_angle_alpha 99.68
_cell_angle_beta 99.68
_cell_angle_gamma 119.76
loop_
_space_group_symop_operation_xyz
'x,y,z'
loop_
_atom_site_label
_atom_site_type_symbol
_atom_site_fract_x
_atom_site_fract_y
_atom_site_fract_z
_atom_site_occupancy
Pm1 Pm 0.164 0.836 0.000 1
Pm2 Pm 0.836 0.164 0.000 1
Sm1 Sm 0.000 0.000 0.500 1
Sm2 Sm 0.331 0.669 0.500 1
Sm3 Sm 0.669 0.331 0.500 1
Te1 Te 0.096 0.419 0.756 1
Te2 Te 0.260 0.260 0.246 1
Te3 Te 0.419 0.096 0.756 1
Te4 Te 0.581 0.904 0.244 1
Te5 Te 0.740 0.740 0.754 1
Te6 Te 0.904 0.581 0.244 1
```

---

Structure and computed X-ray powder pattern of PmSmTe4 (a GGA-PBE-relaxed structure; Cu Kα X-rays).
Intensities are scaled so that the largest is 100.

Main lines, sorted by position (2θ = 10–90°):
2θ 20.53, I 47
2θ 33.32, I 100
2θ 34.84, I 44
2θ 38.09, I 10
2θ 40.78, I 16
2θ 45.49, I 10
2θ 50.09, I 16
2θ 52.57, I 8
2θ 58.55, I 20
2θ 61.50, I 34
2θ 69.97, I 11
2θ 76.25, I 9

```
data_PmSmTe4
_chemical_formula_sum 'Pm2 Sm2 Te8'
_space_group_name_H-M_alt 'P 1'
_space_group_IT_number 1
_cell_length_a 9.494
_cell_length_b 9.494
_cell_length_c 9.494
_cell_angle_alpha 134.88
_cell_angle_beta 134.88
_cell_angle_gamma 65.71
loop_
_space_group_symop_operation_xyz
'x,y,z'
loop_
_atom_site_label
_atom_site_type_symbol
_atom_site_fract_x
_atom_site_fract_y
_atom_site_fract_z
_atom_site_occupancy
Pm1 Pm 0.375 0.625 0.750 1
Pm2 Pm 0.625 0.375 0.250 1
Sm1 Sm 0.125 0.875 0.250 1
Sm2 Sm 0.875 0.125 0.750 1
Te1 Te 0.000 0.249 0.249 1
Te2 Te 0.000 0.751 0.751 1
Te3 Te 0.249 0.000 0.749 1
Te4 Te 0.249 0.500 0.249 1
Te5 Te 0.500 0.249 0.749 1
Te6 Te 0.500 0.751 0.251 1
Te7 Te 0.751 0.000 0.251 1
Te8 Te 0.751 0.500 0.751 1
```

---

Structure and computed X-ray powder pattern of Pm3SmTm2Te6 (a GGA-PBE-relaxed structure; Cu Kα X-rays).
Intensities are scaled so that the largest is 100.

Main lines, sorted by position (2θ = 10–90°):
2θ 28.64, I 100
2θ 40.54, I 13
2θ 40.69, I 25
2θ 41.18, I 25
2θ 41.36, I 12
2θ 49.96, I 7
2θ 50.80, I 7
2θ 51.07, I 13
2θ 59.29, I 12
2θ 66.78, I 11
2θ 67.48, I 11
2θ 73.54, I 6

```
data_Pm3SmTm2Te6
_chemical_formula_sum 'Pm3 Sm1 Tm2 Te6'
_space_group_name_H-M_alt 'P 1'
_space_group_IT_number 1
_cell_length_a 9.898
_cell_length_b 9.898
_cell_length_c 8.901
_cell_angle_alpha 103.91
_cell_angle_beta 103.91
_cell_angle_gamma 25.48
loop_
_space_group_symop_operation_xyz
'x,y,z'
loop_
_atom_site_label
_atom_site_type_symbol
_atom_site_fract_x
_atom_site_fract_y
_atom_site_fract_z
_atom_site_occupancy
Pm1 Pm 0.000 0.000 0.000 1
Pm2 Pm 0.339 0.339 0.668 1
Pm3 Pm 0.661 0.661 0.332 1
Sm1 Sm 0.000 0.000 0.500 1
Tm1 Tm 0.335 0.335 0.171 1
Tm2 Tm 0.665 0.665 0.829 1
Te1 Te 0.169 0.169 0.594 1
Te2 Te 0.171 0.171 0.075 1
Te3 Te 0.495 0.495 0.248 1
Te4 Te 0.505 0.505 0.752 1
Te5 Te 0.829 0.829 0.925 1
Te6 Te 0.831 0.831 0.406 1
```

---

Structure and computed X-ray powder pattern of Pm6Sm12Th (a GGA-PBE-relaxed structure; Cu Kα X-rays).
Intensities are scaled so that the largest is 100.

Main lines, sorted by position (2θ = 10–90°):
2θ 22.99, I 12
2θ 30.54, I 44
2θ 30.86, I 29
2θ 31.03, I 100
2θ 32.46, I 63
2θ 32.70, I 31
2θ 34.25, I 19
2θ 44.24, I 15
2θ 53.29, I 9
2θ 54.11, I 22
2θ 57.12, I 13
2θ 57.33, I 10

```
data_Pm6Sm12Th
_chemical_formula_sum 'Pm6 Sm12 Th1'
_space_group_name_H-M_alt 'P 1'
_space_group_IT_number 1
_cell_length_a 8.692
_cell_length_b 8.692
_cell_length_c 8.692
_cell_angle_alpha 89.33
_cell_angle_beta 89.33
_cell_angle_gamma 89.33
loop_
_space_group_symop_operation_xyz
'x,y,z'
loop_
_atom_site_label
_atom_site_type_symbol
_atom_site_fract_x
_atom_site_fract_y
_atom_site_fract_z
_atom_site_occupancy
Pm1 Pm 0.196 0.592 0.757 1
Pm2 Pm 0.243 0.804 0.408 1
Pm3 Pm 0.408 0.243 0.804 1
Pm4 Pm 0.592 0.757 0.196 1
Pm5 Pm 0.757 0.196 0.592 1
Pm6 Pm 0.804 0.408 0.243 1
Sm1 Sm 0.037 0.278 0.939 1
Sm2 Sm 0.061 0.963 0.722 1
Sm3 Sm 0.147 0.300 0.485 1
Sm4 Sm 0.278 0.939 0.037 1
Sm5 Sm 0.300 0.485 0.147 1
Sm6 Sm 0.485 0.147 0.300 1
Sm7 Sm 0.515 0.853 0.700 1
Sm8 Sm 0.700 0.515 0.853 1
Sm9 Sm 0.722 0.061 0.963 1
Sm10 Sm 0.853 0.700 0.515 1
Sm11 Sm 0.939 0.037 0.278 1
Sm12 Sm 0.963 0.722 0.061 1
Th1 Th 0.500 0.500 0.500 1
```

---

Structure and computed X-ray powder pattern of PmSm2Th6 (a GGA-PBE-relaxed structure; Cu Kα X-rays).
Intensities are scaled so that the largest is 100.

Main lines, sorted by position (2θ = 10–90°):
2θ 29.00, I 52
2θ 29.19, I 13
2θ 29.54, I 59
2θ 31.91, I 75
2θ 33.44, I 100
2θ 41.88, I 38
2θ 51.41, I 40
2θ 55.94, I 32
2θ 60.41, I 48
2θ 62.73, I 17
2θ 84.04, I 17
2θ 85.30, I 15

```
data_PmSm2Th6
_chemical_formula_sum 'Pm1 Sm2 Th6'
_space_group_name_H-M_alt 'P 1'
_space_group_IT_number 1
_cell_length_a 3.555
_cell_length_b 3.555
_cell_length_c 27.215
_cell_angle_alpha 90.00
_cell_angle_beta 90.00
_cell_angle_gamma 120.00
loop_
_space_group_symop_operation_xyz
'x,y,z'
loop_
_atom_site_label
_atom_site_type_symbol
_atom_site_fract_x
_atom_site_fract_y
_atom_site_fract_z
_atom_site_occupancy
Pm1 Pm 0.000 0.000 0.000 1
Sm1 Sm 0.667 0.333 0.330 1
Sm2 Sm 0.667 0.333 0.670 1
Th1 Th 0.000 0.000 0.219 1
Th2 Th 0.000 0.000 0.439 1
Th3 Th 0.000 0.000 0.561 1
Th4 Th 0.000 0.000 0.781 1
Th5 Th 0.667 0.333 0.111 1
Th6 Th 0.667 0.333 0.889 1
```

---

Structure and computed X-ray powder pattern of PmSm12Th5 (a GGA-PBE-relaxed structure; Cu Kα X-rays).
Intensities are scaled so that the largest is 100.

Main lines, sorted by position (2θ = 10–90°):
2θ 11.54, I 5
2θ 25.30, I 2
2θ 30.27, I 100
2θ 35.09, I 51
2θ 37.05, I 1
2θ 38.48, I 3
2θ 50.47, I 36
2θ 59.99, I 43
2θ 62.95, I 12
2θ 74.16, I 6
2θ 82.15, I 17
2θ 84.77, I 16

```
data_PmSm12Th5
_chemical_formula_sum 'Pm1 Sm12 Th5'
_space_group_name_H-M_alt 'P 1'
_space_group_IT_number 1
_cell_length_a 10.850
_cell_length_b 10.850
_cell_length_c 5.114
_cell_angle_alpha 90.00
_cell_angle_beta 90.00
_cell_angle_gamma 90.02
loop_
_space_group_symop_operation_xyz
'x,y,z'
loop_
_atom_site_label
_atom_site_type_symbol
_atom_site_fract_x
_atom_site_fract_y
_atom_site_fract_z
_atom_site_occupancy
Pm1 Pm 0.000 0.000 0.000 1
Sm1 Sm 0.007 0.671 0.000 1
Sm2 Sm 0.164 0.164 0.500 1
Sm3 Sm 0.174 0.506 0.500 1
Sm4 Sm 0.329 0.993 0.000 1
Sm5 Sm 0.340 0.340 0.000 1
Sm6 Sm 0.494 0.826 0.500 1
Sm7 Sm 0.506 0.174 0.500 1
Sm8 Sm 0.660 0.660 0.000 1
Sm9 Sm 0.671 0.007 0.000 1
Sm10 Sm 0.826 0.494 0.500 1
Sm11 Sm 0.836 0.836 0.500 1
Sm12 Sm 0.993 0.329 0.000 1
Th1 Th 0.168 0.832 0.500 1
Th2 Th 0.333 0.667 0.000 1
Th3 Th 0.500 0.500 0.500 1
Th4 Th 0.667 0.333 0.000 1
Th5 Th 0.832 0.168 0.500 1
```